The following is a computed X-ray diffraction stick pattern of Sr2VClO4. It was derived from the GGA+U geometry in Alexandria, using CuKα.
Lines closer than 0.1° are merged.

Principal peaks in the range 15 to 90 degrees two-theta, in order of rising 2θ:
2θ 19.30, rel. 830, hkl 1 1 1; 2θ 23.49, rel. 320, hkl 0 2 0; 2θ 28.11, rel. 1000, hkl 0 2 2; 2θ 29.26, rel. 558, hkl 2 1 0; 2θ 30.27, rel. 359, hkl 2 1 1; 2θ 30.66, rel. 810, hkl 0 0 4; 2θ 33.13, rel. 514, hkl 2 1 2; 2θ 37.46, rel. 239, hkl 2 1 3; 2θ 41.36, rel. 401, hkl 1 2 4; 2θ 42.89, rel. 512, hkl 2 1 4; 2θ 47.81, rel. 591, hkl 2 3 2; 2θ 62.96, rel. 378, hkl 4 2 2

Structural model:
```
Sr2VClO4
1.0
6.670 0.000 0.000
0.000 7.571 0.000
0.000 0.000 11.666
Sr V Cl O
8 4 4 16
Direct
0.127 0.250 0.000
0.127 0.250 0.500
0.362 0.533 0.250
0.362 0.967 0.750
0.638 0.033 0.250
0.638 0.467 0.750
0.873 0.750 0.000
0.873 0.750 0.500
0.370 0.750 0.000
0.370 0.750 0.500
0.630 0.250 0.000
0.630 0.250 0.500
0.002 0.203 0.750
0.002 0.297 0.250
0.998 0.703 0.750
0.998 0.797 0.250
0.213 0.573 0.030
0.213 0.573 0.470
0.213 0.927 0.530
0.213 0.927 0.970
0.475 0.225 0.620
0.475 0.225 0.880
0.475 0.275 0.120
0.475 0.275 0.380
0.525 0.725 0.620
0.525 0.725 0.880
0.525 0.775 0.120
0.525 0.775 0.380
0.787 0.073 0.030
0.787 0.073 0.470
0.787 0.427 0.530
0.787 0.427 0.970
```